Structure and theoretical powder diffraction line list of TmNiSn2 (a cell relaxed with GGA-PBE; Cu Kα (weighted mean of Kα1 and Kα2)).
Intensities are scaled so that the largest is 100.

Top 6 peaks for 2θ = 5–70°, low angle first:
2θ (°)	Rel. int.
29.58	29
33.89	100
35.07	69
36.18	33
38.40	36
40.90	59

Atomic structure:
Lattice parameters (Å, degrees): 16.0855 4.4127 14.5005 90.00 90.00 90.00
Fractional coordinates of all 48 atoms:
Tm  0.1266  0.2500  0.2256
Tm  0.1469  0.7500  0.6026
Tm  0.1512  0.2500  0.9720
Tm  0.3488  0.7500  0.4720
Tm  0.3531  0.2500  0.1026
Tm  0.3734  0.7500  0.7256
Tm  0.6266  0.2500  0.2744
Tm  0.6469  0.7500  0.8974
Tm  0.6512  0.2500  0.5280
Tm  0.8488  0.7500  0.0280
Tm  0.8531  0.2500  0.3974
Tm  0.8734  0.7500  0.7744
Ni  0.0529  0.7500  0.1073
Ni  0.1919  0.2500  0.7439
Ni  0.2003  0.2500  0.4541
Ni  0.2997  0.7500  0.9541
Ni  0.3081  0.7500  0.2439
Ni  0.4471  0.2500  0.6073
Ni  0.5529  0.7500  0.3927
Ni  0.6919  0.2500  0.7561
Ni  0.7003  0.2500  0.0459
Ni  0.7997  0.7500  0.5459
Ni  0.8081  0.7500  0.2561
Ni  0.9471  0.2500  0.8927
Sn  0.0207  0.7500  0.9221
Sn  0.0302  0.2500  0.7349
Sn  0.0425  0.2500  0.4470
Sn  0.1749  0.7500  0.3678
Sn  0.1836  0.7500  0.8229
Sn  0.2145  0.7500  0.1043
Sn  0.2855  0.2500  0.6043
Sn  0.3164  0.2500  0.3229
Sn  0.3251  0.2500  0.8678
Sn  0.4575  0.7500  0.9470
Sn  0.4698  0.7500  0.2349
Sn  0.4793  0.2500  0.4221
Sn  0.5207  0.7500  0.5779
Sn  0.5302  0.2500  0.7651
Sn  0.5425  0.2500  0.0530
Sn  0.6749  0.7500  0.1322
Sn  0.6836  0.7500  0.6771
Sn  0.7145  0.7500  0.3957
Sn  0.7855  0.2500  0.8957
Sn  0.8164  0.2500  0.1771
Sn  0.8251  0.2500  0.6322
Sn  0.9575  0.7500  0.5530
Sn  0.9698  0.7500  0.2651
Sn  0.9793  0.2500  0.0779

***

Structure and theoretical powder diffraction line list of YTmNi2Sn (a cell relaxed with GGA-PBE; Cu Kα (weighted mean of Kα1 and Kα2)).
Intensities are scaled so that the largest is 100.

Top 6 peaks for 2θ = 5–70°, low angle first:
2θ (°)	Rel. int.
29.76	35
34.18	100
36.03	62
39.00	27
39.84	38
59.53	32

Atomic structure:
Lattice parameters (Å, degrees): 3.6139 7.1645 7.1645 32.17 90.00 90.00
Fractional coordinates of all 5 atoms:
Y  0.0000  0.0000  0.0000
Tm  0.0000  0.7262  0.7262
Ni  0.5000  0.1665  0.1665
Ni  0.5000  0.5625  0.5625
Sn  0.5000  0.3629  0.3629

***

Structure and theoretical powder diffraction line list of Zr2Ni2Sn (a cell relaxed with GGA-PBE; Cu Kα (weighted mean of Kα1 and Kα2)).
Intensities are scaled so that the largest is 100.

Top 6 peaks for 2θ = 5–70°, low angle first:
2θ (°)	Rel. int.
31.64	21
35.80	20
36.47	58
38.69	100
40.19	71
69.01	24

Atomic structure:
Lattice parameters (Å, degrees): 7.0948 7.0948 6.8473 90.00 90.00 90.00
Fractional coordinates of all 20 atoms:
Zr  0.1553  0.1553  0.0000
Zr  0.1832  0.1832  0.5000
Zr  0.3168  0.6832  0.0000
Zr  0.3447  0.6553  0.5000
Zr  0.6553  0.3447  0.5000
Zr  0.6832  0.3168  0.0000
Zr  0.8168  0.8168  0.5000
Zr  0.8447  0.8447  0.0000
Ni  0.1259  0.8741  0.2841
Ni  0.1259  0.8741  0.7159
Ni  0.3741  0.3741  0.2159
Ni  0.3741  0.3741  0.7841
Ni  0.6259  0.6259  0.2159
Ni  0.6259  0.6259  0.7841
Ni  0.8741  0.1259  0.2841
Ni  0.8741  0.1259  0.7159
Sn  0.0000  0.5000  0.2500
Sn  0.0000  0.5000  0.7500
Sn  0.5000  0.0000  0.2500
Sn  0.5000  0.0000  0.7500

***

Structure and theoretical powder diffraction line list of Sr2Ni3 (a cell relaxed with GGA-PBE; Cu Kα (weighted mean of Kα1 and Kα2)).
Intensities are scaled so that the largest is 100.

Top 6 peaks for 2θ = 5–70°, low angle first:
2θ (°)	Rel. int.
10.18	100
27.26	36
32.68	28
40.27	36
44.44	41
55.09	19

Atomic structure:
Lattice parameters (Å, degrees): 4.0772 4.0772 8.6886 90.00 90.00 120.00
Fractional coordinates of all 5 atoms:
Sr  0.0000  0.0000  0.0000
Sr  0.3333  0.6667  0.5547
Ni  0.0000  0.0000  0.3120
Ni  0.3333  0.6667  0.2339
Ni  0.6667  0.3333  0.2709

***

Structure and theoretical powder diffraction line list of Sr2Ni2W3 (a cell relaxed with GGA-PBE; Cu Kα (weighted mean of Kα1 and Kα2)).
Intensities are scaled so that the largest is 100.

Top 6 peaks for 2θ = 5–70°, low angle first:
2θ (°)	Rel. int.
10.15	100
28.80	14
33.43	39
40.60	52
41.76	21
41.96	21

Atomic structure:
Lattice parameters (Å, degrees): 9.0868 9.0868 9.0868 28.31 28.31 28.31
Fractional coordinates of all 7 atoms:
Sr  0.0000  0.0000  0.0000
Sr  0.4305  0.4305  0.4305
Ni  0.1649  0.1649  0.1649
Ni  0.6501  0.6501  0.6501
W  0.2558  0.2558  0.2558
W  0.5575  0.5575  0.5575
W  0.8605  0.8605  0.8605

***

Structure and theoretical powder diffraction line list of Ta4Ni (a cell relaxed with GGA-PBE; Cu Kα (weighted mean of Kα1 and Kα2)).
Intensities are scaled so that the largest is 100.

Top 6 peaks for 2θ = 5–70°, low angle first:
2θ (°)	Rel. int.
37.66	100
38.79	43
39.42	80
41.40	75
42.45	45
65.32	30

Atomic structure:
Lattice parameters (Å, degrees): 9.8487 9.8487 5.3492 90.00 90.00 90.00
Fractional coordinates of all 30 atoms:
Ta  0.0407  0.3612  0.0000
Ta  0.0669  0.2617  0.5000
Ta  0.1388  0.5407  0.5000
Ta  0.1739  0.8261  0.2463
Ta  0.1739  0.8261  0.7537
Ta  0.2383  0.5669  0.0000
Ta  0.2617  0.0669  0.5000
Ta  0.3261  0.3261  0.2537
Ta  0.3261  0.3261  0.7463
Ta  0.3612  0.0407  0.0000
Ta  0.4331  0.7617  0.0000
Ta  0.4593  0.8612  0.5000
Ta  0.5407  0.1388  0.5000
Ta  0.5669  0.2383  0.0000
Ta  0.6388  0.9593  0.0000
Ta  0.6739  0.6739  0.2537
Ta  0.6739  0.6739  0.7463
Ta  0.7383  0.9331  0.5000
Ta  0.7617  0.4331  0.0000
Ta  0.8261  0.1739  0.2463
Ta  0.8261  0.1739  0.7537
Ta  0.8612  0.4593  0.5000
Ta  0.9331  0.7383  0.5000
Ta  0.9593  0.6388  0.0000
Ni  0.0000  0.0000  0.5000
Ni  0.0974  0.0974  0.0000
Ni  0.4026  0.5974  0.5000
Ni  0.5000  0.5000  0.0000
Ni  0.5974  0.4026  0.5000
Ni  0.9026  0.9026  0.0000

***

Structure and theoretical powder diffraction line list of Ta5Ni (a cell relaxed with GGA-PBE; Cu Kα (weighted mean of Kα1 and Kα2)).
Intensities are scaled so that the largest is 100.

Top 6 peaks for 2θ = 5–70°, low angle first:
2θ (°)	Rel. int.
34.41	33
36.73	30
37.09	39
39.36	52
40.42	100
41.76	29

Atomic structure:
Lattice parameters (Å, degrees): 5.2162 5.2162 8.6574 90.00 90.00 117.74
Fractional coordinates of all 12 atoms:
Ta  0.0000  0.0000  0.0000
Ta  0.0000  0.0000  0.5000
Ta  0.1610  0.3540  0.2500
Ta  0.3369  0.6631  0.5635
Ta  0.3369  0.6631  0.9365
Ta  0.3540  0.1610  0.7500
Ta  0.6460  0.8390  0.2500
Ta  0.6631  0.3369  0.0635
Ta  0.6631  0.3369  0.4365
Ta  0.8390  0.6460  0.7500
Ni  0.1610  0.8390  0.2500
Ni  0.8390  0.1610  0.7500

***

Structure and theoretical powder diffraction line list of Ta8Ni7 (a cell relaxed with GGA-PBE; Cu Kα (weighted mean of Kα1 and Kα2)).
Intensities are scaled so that the largest is 100.

Top 6 peaks for 2θ = 5–70°, low angle first:
2θ (°)	Rel. int.
21.21	39
39.68	100
40.48	46
40.88	62
41.66	82
43.67	68

Atomic structure:
Lattice parameters (Å, degrees): 9.3651 9.3651 5.0680 90.00 90.00 90.00
Fractional coordinates of all 30 atoms:
Ta  0.0402  0.3605  0.0000
Ta  0.1395  0.5402  0.5000
Ta  0.1755  0.8245  0.2495
Ta  0.1755  0.8245  0.7505
Ta  0.3245  0.3245  0.2505
Ta  0.3245  0.3245  0.7495
Ta  0.3605  0.0402  0.0000
Ta  0.4598  0.8605  0.5000
Ta  0.5402  0.1395  0.5000
Ta  0.6395  0.9598  0.0000
Ta  0.6755  0.6755  0.2505
Ta  0.6755  0.6755  0.7495
Ta  0.8245  0.1755  0.2495
Ta  0.8245  0.1755  0.7505
Ta  0.8605  0.4598  0.5000
Ta  0.9598  0.6395  0.0000
Ni  0.0000  0.0000  0.5000
Ni  0.0724  0.2559  0.5000
Ni  0.0961  0.0961  0.0000
Ni  0.2441  0.5724  0.0000
Ni  0.2559  0.0724  0.5000
Ni  0.4039  0.5961  0.5000
Ni  0.4276  0.7559  0.0000
Ni  0.5000  0.5000  0.0000
Ni  0.5724  0.2441  0.0000
Ni  0.5961  0.4039  0.5000
Ni  0.7441  0.9276  0.5000
Ni  0.7559  0.4276  0.0000
Ni  0.9039  0.9039  0.0000
Ni  0.9276  0.7441  0.5000

***

Structure and theoretical powder diffraction line list of Ta2Ni3 (a cell relaxed with GGA-PBE; Cu Kα (weighted mean of Kα1 and Kα2)).
Intensities are scaled so that the largest is 100.

Top 6 peaks for 2θ = 5–70°, low angle first:
2θ (°)	Rel. int.
28.36	40
36.99	46
40.27	77
43.20	69
44.55	100
45.68	73

Atomic structure:
Lattice parameters (Å, degrees): 9.2331 9.2331 4.8599 90.00 90.00 90.00
Fractional coordinates of all 30 atoms:
Ta  0.0587  0.2744  0.0000
Ta  0.1054  0.1054  0.5000
Ta  0.2256  0.5587  0.5000
Ta  0.2744  0.0587  0.0000
Ta  0.3946  0.6054  0.0000
Ta  0.4413  0.7744  0.5000
Ta  0.5587  0.2256  0.5000
Ta  0.6054  0.3946  0.0000
Ta  0.7256  0.9413  0.0000
Ta  0.7744  0.4413  0.5000
Ta  0.8946  0.8946  0.5000
Ta  0.9413  0.7256  0.0000
Ni  0.0000  0.0000  0.0000
Ni  0.0322  0.3682  0.5000
Ni  0.1318  0.5322  0.0000
Ni  0.1746  0.8254  0.2536
Ni  0.1746  0.8254  0.7464
Ni  0.3254  0.3254  0.2464
Ni  0.3254  0.3254  0.7536
Ni  0.3682  0.0322  0.5000
Ni  0.4678  0.8682  0.0000
Ni  0.5000  0.5000  0.5000
Ni  0.5322  0.1318  0.0000
Ni  0.6318  0.9678  0.5000
Ni  0.6746  0.6746  0.2464
Ni  0.6746  0.6746  0.7536
Ni  0.8254  0.1746  0.2536
Ni  0.8254  0.1746  0.7464
Ni  0.8682  0.4678  0.0000
Ni  0.9678  0.6318  0.5000

***

Structure and theoretical powder diffraction line list of Ta3Ni10 (a cell relaxed with GGA-PBE; Cu Kα (weighted mean of Kα1 and Kα2)).
Intensities are scaled so that the largest is 100.

Top 6 peaks for 2θ = 5–70°, low angle first:
2θ (°)	Rel. int.
22.91	69
38.30	100
41.41	44
43.89	53
44.55	77
50.18	58

Atomic structure:
Lattice parameters (Å, degrees): 9.0263 9.0263 9.0263 30.18 30.18 30.18
Fractional coordinates of all 13 atoms:
Ta  0.0000  0.0000  0.0000
Ta  0.4486  0.4486  0.4486
Ta  0.5514  0.5514  0.5514
Ni  0.0916  0.0916  0.5815
Ni  0.0916  0.5815  0.0916
Ni  0.1636  0.1636  0.1636
Ni  0.3471  0.3471  0.3471
Ni  0.4185  0.9084  0.9084
Ni  0.5815  0.0916  0.0916
Ni  0.6529  0.6529  0.6529
Ni  0.8364  0.8364  0.8364
Ni  0.9084  0.4185  0.9084
Ni  0.9084  0.9084  0.4185